# V4OF11
Theoretical powder XRD pattern, λ = 1.5418 Å (Cu Kα). Input: a crystal structure in Alexandria, relaxed with GGA+U.
Lines closer than 0.1° are merged.

The 10 most intense peaks (10° ≤ 2θ ≤ 80°), in order of rising 2θ:
| d/Å | 2θ (°) | I (rel.) | index |
| --- | --- | --- | --- |
| 3.808 | 23.36 | 100 | 0 1 3 |
| 3.787 | 23.49 | 52 | 1 0 3 |
| 2.732 | 32.78 | 14 | 1 2 1 |
| 2.286 | 39.42 | 18 | 1 1 -6 |
| 1.906 | 47.72 | 11 | 0 2 6 |
| 1.902 | 47.82 | 11 | 2 2 -4 |
| 1.893 | 48.05 | 11 | 2 0 6 |
| 1.722 | 53.18 | 8 | 1 3 4 |
| 1.720 | 53.26 | 17 | 2 3 -1 |
| 1.714 | 53.45 | 8 | 1 -1 8 |

Structural model:
```
data_V4OF11
_chemical_formula_sum 'V8 O2 F22'
_space_group_name_H-M_alt 'P 1'
_space_group_IT_number 1
_cell_length_a 5.295
_cell_length_b 5.463
_cell_length_c 17.578
_cell_angle_alpha 82.68
_cell_angle_beta 81.78
_cell_angle_gamma 61.18
loop_
_space_group_symop_operation_xyz
'x,y,z'
loop_
_atom_site_label
_atom_site_type_symbol
_atom_site_fract_x
_atom_site_fract_y
_atom_site_fract_z
V1 V 0.000 0.000 0.000
V2 V 0.131 0.120 0.625
V3 V 0.270 0.238 0.259
V4 V 0.368 0.378 0.872
V5 V 0.500 0.500 0.500
V6 V 0.632 0.622 0.128
V7 V 0.730 0.762 0.741
V8 V 0.869 0.880 0.375
O1 O 0.493 0.087 0.330
O2 O 0.507 0.913 0.670
F1 F 0.000 0.422 0.173
F2 F 0.000 0.578 0.827
F3 F 0.035 0.443 0.684
F4 F 0.038 0.040 0.289
F5 F 0.197 0.225 0.960
F6 F 0.211 0.814 0.563
F7 F 0.262 0.821 0.083
F8 F 0.264 0.662 0.413
F9 F 0.266 0.702 0.933
F10 F 0.289 0.284 0.538
F11 F 0.443 0.476 0.213
F12 F 0.485 0.042 0.815
F13 F 0.515 0.958 0.185
F14 F 0.557 0.524 0.787
F15 F 0.711 0.716 0.462
F16 F 0.734 0.298 0.067
F17 F 0.736 0.338 0.587
F18 F 0.738 0.179 0.917
F19 F 0.789 0.186 0.437
F20 F 0.803 0.775 0.040
F21 F 0.962 0.960 0.711
F22 F 0.965 0.557 0.316
```